No. 1
Simulated X-ray diffraction stick pattern
Compound: La2Pr3Au2
Radiation: λ = 1.5418 Å (Cu Kα)
Structure: a GGA-PBE-relaxed structure

Crystal structure
```
data_La2Pr3Au2
_symmetry_space_group_name_H-M 'C 1 2/m 1'
_symmetry_Int_Tables_number 12
_symmetry_space_group_name_Hall '-C 2y'
_cell_length_a 12.9921
_cell_length_b 3.9495
_cell_length_c 9.5763
_cell_angle_alpha 90.00
_cell_angle_beta 115.08
_cell_angle_gamma 90.00
loop_
_atom_site_label
_atom_site_fract_x
_atom_site_fract_y
_atom_site_fract_z
_atom_site_occupancy
La1 0.1561 0.0000 0.3150 1
Pr1 0.0000 0.5000 0.5000 1
Pr2 0.1146 0.5000 0.9447 1
Au1 0.1661 0.0000 0.7289 1
```

Principal peaks in the range 5° ≤ 2θ ≤ 70°, by angle:
Position (°2θ), d (Å), intensity
29.34, 3.044, 877
30.36, 2.944, 1000
30.64, 2.918, 832
32.16, 2.783, 931
32.59, 2.748, 925
32.97, 2.716, 754
33.67, 2.662, 818
36.62, 2.454, 673

=====

No. 2
Simulated X-ray diffraction stick pattern
Compound: CsTl2SnCl8
Radiation: λ = 1.5418 Å (Cu Kα)
Structure: a GGA-PBE-relaxed structure

Crystal structure
```
data_CsTl2SnCl8
_symmetry_space_group_name_H-M 'P 1 2/m 1'
_symmetry_Int_Tables_number 10
_symmetry_space_group_name_Hall '-P 2y'
_cell_length_a 6.7860
_cell_length_b 7.1583
_cell_length_c 8.5794
_cell_angle_alpha 90.00
_cell_angle_beta 106.22
_cell_angle_gamma 90.00
loop_
_atom_site_label
_atom_site_fract_x
_atom_site_fract_y
_atom_site_fract_z
_atom_site_occupancy
Cs1 0.0000 0.0000 0.0000 1
Tl1 0.4549 0.5000 0.7412 1
Sn1 0.5000 0.0000 0.5000 1
Cl1 0.1700 0.5000 0.9410 1
Cl2 0.2370 0.2446 0.4047 1
Cl3 0.4379 0.0000 0.7724 1
```

Principal peaks in the range 5° ≤ 2θ ≤ 70°, by angle:
Position (°2θ), d (Å), intensity
13.59, 6.516, 644
18.41, 4.819, 335
19.32, 4.593, 331
24.91, 3.574, 1000
28.69, 3.111, 320
31.86, 2.809, 335
32.41, 2.763, 438
37.32, 2.409, 397

=====

No. 3
Simulated X-ray diffraction stick pattern
Compound: OsSe3O9
Radiation: λ = 1.5418 Å (Cu Kα)
Structure: a GGA-PBE-relaxed structure

Crystal structure
```
data_OsSe3O9
_symmetry_space_group_name_H-M 'C 1 c 1'
_symmetry_Int_Tables_number 9
_symmetry_space_group_name_Hall 'C -2yc'
_cell_length_a 13.5716
_cell_length_b 7.1186
_cell_length_c 10.7087
_cell_angle_alpha 90.00
_cell_angle_beta 107.53
_cell_angle_gamma 90.00
loop_
_atom_site_label
_atom_site_fract_x
_atom_site_fract_y
_atom_site_fract_z
_atom_site_occupancy
Os1 0.0000 0.1965 0.0000 1
Se1 0.1268 0.0039 0.7890 1
Se2 0.3038 0.3007 0.7610 1
Se3 0.4227 0.0353 0.1548 1
O1 0.0159 0.0589 0.8236 1
O2 0.0699 0.3779 0.9616 1
O3 0.0819 0.0034 0.1076 1
O4 0.1741 0.2376 0.7859 1
O5 0.2650 0.4389 0.6360 1
O6 0.3082 0.0587 0.6914 1
O7 0.3721 0.3677 0.4308 1
O8 0.3783 0.0772 0.9975 1
O9 0.4889 0.1954 0.6623 1
```

Principal peaks in the range 5° ≤ 2θ ≤ 70°, by angle:
Position (°2θ), d (Å), intensity
13.69, 6.471, 372
17.71, 5.009, 1000
23.43, 3.796, 392
24.10, 3.692, 301
25.27, 3.525, 303
25.90, 3.441, 265
27.98, 3.189, 271
31.37, 2.852, 277

=====

No. 4
Simulated X-ray diffraction stick pattern
Compound: Re2Mo2Se7
Radiation: λ = 1.5418 Å (Cu Kα)
Structure: a GGA-PBE-relaxed structure

Crystal structure
```
data_Re2Mo2Se7
_symmetry_space_group_name_H-M 'C 1 2/m 1'
_symmetry_Int_Tables_number 12
_symmetry_space_group_name_Hall '-C 2y'
_cell_length_a 6.5388
_cell_length_b 13.5446
_cell_length_c 6.9077
_cell_angle_alpha 90.00
_cell_angle_beta 101.03
_cell_angle_gamma 90.00
loop_
_atom_site_label
_atom_site_fract_x
_atom_site_fract_y
_atom_site_fract_z
_atom_site_occupancy
Re1 0.0000 0.0956 0.0000 1
Mo1 0.1225 0.0000 0.3835 1
Se1 0.0000 0.5000 0.5000 1
Se2 0.1421 0.1840 0.2852 1
Se3 0.2493 0.5000 0.1517 1
```

Principal peaks in the range 5° ≤ 2θ ≤ 70°, by angle:
Position (°2θ), d (Å), intensity
13.07, 6.774, 539
15.28, 5.800, 1000
18.33, 4.840, 336
28.40, 3.142, 240
29.48, 3.030, 318
32.83, 2.728, 195
42.33, 2.135, 401
43.39, 2.085, 342

=====

No. 5
Simulated X-ray diffraction stick pattern
Compound: Pr2AuO4
Radiation: λ = 1.5418 Å (Cu Kα)
Structure: a GGA-PBE-relaxed structure

Crystal structure
```
data_Pr2AuO4
_symmetry_space_group_name_H-M 'C m c e'
_symmetry_Int_Tables_number 64
_symmetry_space_group_name_Hall '-C 2ac 2'
_cell_length_a 12.6390
_cell_length_b 5.9230
_cell_length_c 5.9174
_cell_angle_alpha 90.00
_cell_angle_beta 90.00
_cell_angle_gamma 90.00
loop_
_atom_site_label
_atom_site_fract_x
_atom_site_fract_y
_atom_site_fract_z
_atom_site_occupancy
Pr1 0.1575 0.0000 0.0000 1
Au1 0.0000 0.0000 0.5000 1
O1 0.0000 0.1841 0.1850 1
O2 0.2500 0.2388 0.7500 1
```

Principal peaks in the range 5° ≤ 2θ ≤ 70°, by angle:
Position (°2θ), d (Å), intensity
30.11, 2.968, 1000
30.21, 2.959, 166
42.93, 2.106, 77
43.22, 2.093, 195
53.38, 1.716, 170
53.57, 1.711, 358
62.56, 1.485, 96
62.78, 1.480, 59

=====

No. 6
Simulated X-ray diffraction stick pattern
Compound: Ce5Ge2I2
Radiation: λ = 1.5418 Å (Cu Kα)
Structure: a GGA-PBE-relaxed structure

Crystal structure
```
data_Ce5Ge2I2
_symmetry_space_group_name_H-M 'I m a 2'
_symmetry_Int_Tables_number 46
_symmetry_space_group_name_Hall 'I 2 -2a'
_cell_length_a 17.1040
_cell_length_b 7.5425
_cell_length_c 8.3373
_cell_angle_alpha 90.00
_cell_angle_beta 90.00
_cell_angle_gamma 90.00
loop_
_atom_site_label
_atom_site_fract_x
_atom_site_fract_y
_atom_site_fract_z
_atom_site_occupancy
Ce1 0.0684 0.1879 0.0000 1
Ce2 0.1676 0.6313 0.1487 1
Ce3 0.2500 0.1938 0.2768 1
Ge1 0.0000 0.0000 0.7154 1
Ge2 0.2500 0.5335 0.4668 1
I1 0.0997 0.5394 0.8101 1
```

Principal peaks in the range 5° ≤ 2θ ≤ 70°, by angle:
Position (°2θ), d (Å), intensity
26.46, 3.369, 624
28.65, 3.115, 697
29.06, 3.073, 1000
30.37, 2.943, 549
33.72, 2.658, 615
34.39, 2.608, 742
35.34, 2.540, 754
38.25, 2.353, 374

=====

No. 7
Simulated X-ray diffraction stick pattern
Compound: In2B
Radiation: λ = 1.5418 Å (Cu Kα)
Structure: a GGA-PBE-relaxed structure

Crystal structure
```
data_In2B
_symmetry_space_group_name_H-M 'P 1 21/m 1'
_symmetry_Int_Tables_number 11
_symmetry_space_group_name_Hall '-P 2yb'
_cell_length_a 6.1490
_cell_length_b 3.2044
_cell_length_c 6.4605
_cell_angle_alpha 90.00
_cell_angle_beta 97.74
_cell_angle_gamma 90.00
loop_
_atom_site_label
_atom_site_fract_x
_atom_site_fract_y
_atom_site_fract_z
_atom_site_occupancy
In1 0.1494 0.2500 0.1867 1
In2 0.3002 0.7500 0.6193 1
B1 0.4929 0.2500 0.0154 1
```

Principal peaks in the range 5° ≤ 2θ ≤ 70°, by angle:
Position (°2θ), d (Å), intensity
30.76, 2.907, 669
31.21, 2.865, 1000
33.33, 2.688, 667
35.41, 2.535, 491
40.87, 2.208, 432
41.18, 2.192, 326
42.98, 2.104, 268
68.14, 1.376, 247

=====

No. 8
Simulated X-ray diffraction stick pattern
Compound: Ba8Ti3Nb4O24
Radiation: λ = 1.5418 Å (Cu Kα)
Structure: a GGA-PBE-relaxed structure

Crystal structure
```
data_Ba8Ti3Nb4O24
_symmetry_space_group_name_H-M 'P 3 m 1'
_symmetry_Int_Tables_number 156
_symmetry_space_group_name_Hall 'P 3 -2"'
_cell_length_a 5.8512
_cell_length_b 5.8512
_cell_length_c 19.2679
_cell_angle_alpha 90.00
_cell_angle_beta 90.00
_cell_angle_gamma 120.00
loop_
_atom_site_label
_atom_site_fract_x
_atom_site_fract_y
_atom_site_fract_z
_atom_site_occupancy
Ba1 0.0000 0.0000 0.0000 1
Ba2 0.0000 0.0000 0.2263 1
Ba3 0.0000 0.0000 0.6154 1
Ba4 0.3333 0.6667 0.3754 1
Ba5 0.3333 0.6667 0.8689 1
Ba6 0.6667 0.3333 0.1128 1
Ba7 0.6667 0.3333 0.5157 1
Ba8 0.6667 0.3333 0.7430 1
Ti1 0.3333 0.6667 0.0460 1
Ti2 0.3333 0.6667 0.1862 1
Ti3 0.6667 0.3333 0.9316 1
Nb1 0.0000 0.0000 0.4324 1
Nb2 0.0000 0.0000 0.8085 1
Nb3 0.3333 0.6667 0.6737 1
Nb4 0.6667 0.3333 0.3041 1
O1 0.0007 0.5004 0.2358 1
O2 0.0038 0.5019 0.6294 1
O3 0.1592 0.3184 0.4813 1
O4 0.1633 0.3267 0.7506 1
O5 0.1856 0.3713 0.1127 1
O6 0.3353 0.1677 0.8712 1
O7 0.3365 0.1682 0.3550 1
O8 0.5024 0.0048 0.9892 1
```

Principal peaks in the range 5° ≤ 2θ ≤ 70°, by angle:
Position (°2θ), d (Å), intensity
25.51, 3.491, 250
29.11, 3.067, 775
30.56, 2.926, 1000
33.02, 2.712, 179
42.71, 2.117, 435
53.42, 1.715, 278
54.31, 1.689, 196
63.61, 1.463, 201

=====

No. 9
Simulated X-ray diffraction stick pattern
Compound: RbBCl4
Radiation: λ = 1.5418 Å (Cu Kα)
Structure: a GGA-PBE-relaxed structure

Crystal structure
```
data_RbBCl4
_symmetry_space_group_name_H-M 'P m n 21'
_symmetry_Int_Tables_number 31
_symmetry_space_group_name_Hall 'P 2ac -2'
_cell_length_a 9.4821
_cell_length_b 6.0604
_cell_length_c 6.6229
_cell_angle_alpha 90.00
_cell_angle_beta 90.00
_cell_angle_gamma 90.00
loop_
_atom_site_label
_atom_site_fract_x
_atom_site_fract_y
_atom_site_fract_z
_atom_site_occupancy
Rb1 0.0000 0.2102 0.0000 1
B1 0.0000 0.8064 0.5172 1
Cl1 0.0000 0.1153 0.5112 1
Cl2 0.0000 0.7064 0.2508 1
Cl3 0.1589 0.7068 0.6554 1
```

Principal peaks in the range 5° ≤ 2θ ≤ 70°, by angle:
Position (°2θ), d (Å), intensity
18.72, 4.741, 847
19.86, 4.471, 916
27.42, 3.253, 420
29.48, 3.030, 405
31.36, 2.853, 353
31.93, 2.802, 397
32.22, 2.778, 1000
43.58, 2.077, 335

=====

No. 10
Simulated X-ray diffraction stick pattern
Compound: Eu3O4
Radiation: λ = 1.5418 Å (Cu Kα)
Structure: a GGA-PBE-relaxed structure

Crystal structure
```
data_Eu3O4
_symmetry_space_group_name_H-M 'P n m a'
_symmetry_Int_Tables_number 62
_symmetry_space_group_name_Hall '-P 2ac 2n'
_cell_length_a 10.2000
_cell_length_b 3.4773
_cell_length_c 12.1572
_cell_angle_alpha 90.00
_cell_angle_beta 90.00
_cell_angle_gamma 90.00
loop_
_atom_site_label
_atom_site_fract_x
_atom_site_fract_y
_atom_site_fract_z
_atom_site_occupancy
Eu1 0.0731 0.2500 0.1135 1
Eu2 0.0851 0.2500 0.6108 1
Eu3 0.2433 0.2500 0.8528 1
O1 0.0155 0.2500 0.7949 1
O2 0.0767 0.2500 0.4137 1
O3 0.1429 0.7500 0.9797 1
O4 0.2252 0.7500 0.6998 1
```

Principal peaks in the range 5° ≤ 2θ ≤ 70°, by angle:
Position (°2θ), d (Å), intensity
29.39, 3.039, 496
30.12, 2.967, 1000
30.90, 2.894, 610
31.13, 2.873, 370
35.13, 2.555, 218
43.35, 2.087, 404
52.60, 1.740, 387
61.85, 1.500, 267

=====

No. 11
Simulated X-ray diffraction stick pattern
Compound: SrGe4O9
Radiation: λ = 1.5418 Å (Cu Kα)
Structure: a GGA-PBE-relaxed structure

Crystal structure
```
data_SrGe4O9
_symmetry_space_group_name_H-M 'P 3 2 1'
_symmetry_Int_Tables_number 150
_symmetry_space_group_name_Hall 'P 3 2"'
_cell_length_a 11.5118
_cell_length_b 11.5118
_cell_length_c 4.8328
_cell_angle_alpha 90.00
_cell_angle_beta 90.00
_cell_angle_gamma 120.00
loop_
_atom_site_label
_atom_site_fract_x
_atom_site_fract_y
_atom_site_fract_z
_atom_site_occupancy
Sr1 0.0000 0.3270 0.0000 1
Ge1 0.0000 0.0000 0.0000 1
Ge2 0.0000 0.8203 0.5000 1
Ge3 0.1499 0.6590 0.5988 1
Ge4 0.3333 0.6667 0.1057 1
O1 0.0000 0.5107 0.5000 1
O2 0.0608 0.1552 0.2371 1
O3 0.1110 0.7857 0.7048 1
O4 0.1793 0.5768 0.8766 1
O5 0.2495 0.5101 0.3269 1
```

Principal peaks in the range 5° ≤ 2θ ≤ 70°, by angle:
Position (°2θ), d (Å), intensity
15.39, 5.756, 341
24.04, 3.701, 1000
30.07, 2.972, 378
31.08, 2.878, 721
32.70, 2.738, 938
36.33, 2.473, 251
51.23, 1.783, 292
55.29, 1.662, 310

=====

> Number 2 is which compound?

CsTl2SnCl8